Structure and theoretical XRD peak list of Y2AlZn7 (a crystal structure in Alexandria, relaxed with PBE; a wavelength of 1.5418 Å).

Atomic structure:
abc: 4.1232 4.1232 10.7805
angles: 90.00 90.00 90.00
Positions (direct):
Y 0.0000 0.5000 0.2501
Y 0.5000 0.0000 0.7499
Al 0.0000 0.0000 0.5000
Zn 0.0000 0.0000 0.0000
Zn 0.0000 0.5000 0.6390
Zn 0.0000 0.5000 0.8635
Zn 0.5000 0.0000 0.1365
Zn 0.5000 0.0000 0.3610
Zn 0.5000 0.5000 0.0000
Zn 0.5000 0.5000 0.5000

The 6 most intense peaks (15 to 90 degrees two-theta), low angle first:
2theta  intensity  (hkl)
33.07  59  1 0 3
34.99  100  1 1 2
43.92  60  2 0 0
47.59  37  1 0 5
56.06  25  2 1 3
66.75  26  2 1 5